Structure and theoretical PXRD pattern of Ac3CdAu (a DFT-relaxed cell (PBE, Alexandria); Cu Kα (weighted mean of Kα1 and Kα2)).
No peak broadening, texture or thermal motion is included.

Cell and atoms:
a = 5.675 Å, b = 21.510 Å, c = 5.669 Å
α = 90.00°, β = 90.00°, γ = 90.00°
Space group Cmcm (No. 63)
Unique sites:
Ac 0.000 0.066 0.250 [4 per cell]
Ac 0.000 0.249 0.250 [4 per cell]
Ac 0.000 0.430 0.250 [4 per cell]
Cd 0.000 0.156 0.750 [4 per cell]
Au 0.000 0.340 0.750 [4 per cell]

Peak list (10 most intense, 5° ≤ 2θ ≤ 70°, low angle first)
(1 1 1), 22.55 deg, I = 5; (1 5 1), 30.47 deg, I = 100; (2 0 0), 31.55 deg, I = 54; (1 7 1), 36.85 deg, I = 9; (0 10 0), 42.00 deg, I = 6; (2 0 2), 45.22 deg, I = 20; (2 10 0), 53.47 deg, I = 12; (3 5 1), 55.51 deg, I = 38; (2 12 0), 61.17 deg, I = 7; (2 10 2), 63.41 deg, I = 7

---

Structure and theoretical PXRD pattern of AcCdAu3 (a DFT-relaxed cell (PBE, Alexandria); Cu Kα (weighted mean of Kα1 and Kα2)).
No peak broadening, texture or thermal motion is included.

Cell and atoms:
a = 9.631 Å, b = 5.150 Å, c = 9.661 Å
α = 90.00°, β = 90.00°, γ = 90.00°
Space group Pnma (No. 62)
Unique sites:
Ac 0.227 0.250 0.005 [4 per cell]
Cd 0.084 0.250 0.354 [4 per cell]
Au 0.099 0.750 0.156 [4 per cell]
Au 0.103 0.250 0.645 [4 per cell]
Au 0.116 0.750 0.846 [4 per cell]

Peak list (10 most intense, 5° ≤ 2θ ≤ 70°, low angle first)
(2 0 2), 26.13 deg, I = 10; (1 1 3), 34.16 deg, I = 100; (0 2 0), 34.84 deg, I = 28; (4 0 2), 41.88 deg, I = 11; (3 1 3), 43.51 deg, I = 12; (4 0 4), 53.76 deg, I = 8; (2 2 4), 55.56 deg, I = 6; (1 3 3), 62.04 deg, I = 18; (4 2 4), 65.68 deg, I = 9; (0 2 6), 68.76 deg, I = 6

---

Structure and theoretical PXRD pattern of Ac2CdAu3 (a DFT-relaxed cell (PBE, Alexandria); Cu Kα (weighted mean of Kα1 and Kα2)).
No peak broadening, texture or thermal motion is included.

Cell and atoms:
a = 4.294 Å, b = 4.339 Å, c = 18.343 Å
α = 90.00°, β = 90.00°, γ = 90.00°
Space group Imm2 (No. 44)
Unique sites:
Ac 0.000 0.000 0.000 [2 per cell]
Ac 0.000 0.500 0.229 [2 per cell]
Cd 0.000 0.000 0.401 [2 per cell]
Au 0.000 0.000 0.557 [2 per cell]
Au 0.000 0.500 0.654 [2 per cell]
Au 0.000 0.500 0.807 [2 per cell]

Peak list (10 most intense, 5° ≤ 2θ ≤ 70°, low angle first)
(1 1 2), 30.88 deg, I = 100; (0 1 5), 31.95 deg, I = 24; (1 0 5), 32.09 deg, I = 33; (0 1 7), 40.20 deg, I = 29; (1 0 7), 40.32 deg, I = 13; (0 2 0), 41.63 deg, I = 21; (2 0 0), 42.09 deg, I = 20; (1 2 5), 53.51 deg, I = 16; (2 1 7), 59.61 deg, I = 18; (2 2 0), 60.69 deg, I = 14

---

Structure and theoretical PXRD pattern of AcCd2Au10 (a DFT-relaxed cell (PBE, Alexandria); Cu Kα (weighted mean of Kα1 and Kα2)).
No peak broadening, texture or thermal motion is included.

Cell and atoms:
a = 5.711 Å, b = 13.098 Å, c = 14.325 Å
α = 90.00°, β = 90.00°, γ = 90.00°
Space group Fmmm (No. 69)
Unique sites:
Ac 0.000 0.000 0.000 [4 per cell]
Cd 0.250 0.000 0.250 [8 per cell]
Au 0.000 0.108 0.392 [16 per cell]
Au 0.000 0.176 0.171 [16 per cell]
Au 0.250 0.250 0.000 [8 per cell]

Peak list (10 most intense, 5° ≤ 2θ ≤ 70°, low angle first)
(2 0 0), 31.33 deg, I = 40; (1 3 3), 31.89 deg, I = 78; (1 1 5), 35.73 deg, I = 88; (2 2 2), 36.55 deg, I = 100; (0 4 4), 37.20 deg, I = 92; (1 5 1), 38.32 deg, I = 81; (0 2 6), 40.20 deg, I = 28; (2 0 4), 40.40 deg, I = 61; (2 4 0), 41.98 deg, I = 48; (2 6 6), 66.65 deg, I = 54

---

Structure and theoretical PXRD pattern of Ac3Cd3Au8 (a DFT-relaxed cell (PBE, Alexandria); Cu Kα (weighted mean of Kα1 and Kα2)).
No peak broadening, texture or thermal motion is included.

Cell and atoms:
a = 4.753 Å, b = 9.892 Å, c = 14.443 Å
α = 90.00°, β = 90.00°, γ = 90.00°
Space group Immm (No. 71)
Unique sites:
Ac 0.000 0.000 0.000 [2 per cell]
Ac 0.000 0.000 0.288 [4 per cell]
Cd 0.000 0.189 0.500 [4 per cell]
Cd 0.000 0.500 0.000 [2 per cell]
Au 0.000 0.291 0.137 [8 per cell]
Au 0.000 0.361 0.342 [8 per cell]

Peak list (10 most intense, 5° ≤ 2θ ≤ 70°, low angle first)
(0 2 4), 30.66 deg, I = 51; (1 2 3), 32.06 deg, I = 100; (1 1 4), 32.43 deg, I = 62; (1 3 0), 33.06 deg, I = 75; (1 3 2), 35.38 deg, I = 37; (0 0 6), 37.36 deg, I = 28; (2 0 0), 37.86 deg, I = 71; (1 4 1), 41.63 deg, I = 30; (2 2 4), 49.47 deg, I = 28; (1 4 7), 61.71 deg, I = 33

---

Structure and theoretical PXRD pattern of Ac2CdIn3Au4 (a DFT-relaxed cell (PBE, Alexandria); Cu Kα (weighted mean of Kα1 and Kα2)).
No peak broadening, texture or thermal motion is included.

Cell and atoms:
a = 4.783 Å, b = 4.783 Å, c = 11.216 Å
α = 90.00°, β = 90.00°, γ = 90.00°
Space group P-4m2 (No. 115)
Unique sites:
Ac 0.000 0.500 0.241 [2 per cell]
Cd 0.000 0.000 0.500 [1 per cell]
In 0.000 0.500 0.874 [2 per cell]
In 0.500 0.500 0.500 [1 per cell]
Au 0.000 0.000 0.000 [1 per cell]
Au 0.000 0.500 0.635 [2 per cell]
Au 0.500 0.500 0.000 [1 per cell]

Peak list (10 most intense, 5° ≤ 2θ ≤ 70°, low angle first)
(1 0 3), 30.35 deg, I = 57; (1 1 2), 30.88 deg, I = 100; (2 0 0), 37.61 deg, I = 69; (1 1 4), 41.85 deg, I = 23; (1 0 5), 44.62 deg, I = 26; (2 1 3), 49.07 deg, I = 30; (2 2 0), 54.25 deg, I = 24; (1 1 6), 56.23 deg, I = 14; (2 1 5), 59.74 deg, I = 22; (3 1 2), 63.73 deg, I = 26